Diffraction record for La8Ir3Ru2. The X-ray diffraction stick pattern is theoretical, not measured: it uses DFT lattice parameters and positions (GGA-PBE) and Cu Kα (weighted mean of Kα1 and Kα2).
Kinematic intensities with the Lorentz-polarization factor, no thermal factor.

Top 10 peaks for 2θ from 10° to 90°, by angle:
13.03 deg, I 14
13.41 deg, I 27
30.22 deg, I 50
30.61 deg, I 100
43.05 deg, I 60
44.06 deg, I 32
44.63 deg, I 16
53.49 deg, I 20
63.74 deg, I 11
78.91 deg, I 11

Structural model:
Unit cell a=8.4058 b=8.4058 c=7.0732 alpha=108.14 beta=108.14 gamma=60.01
Positions (direct):
La 0.1164 0.6310 0.2357
La 0.1192 0.1192 0.2452
La 0.3690 0.8836 0.7643
La 0.3722 0.3722 0.7857
La 0.6278 0.6278 0.2143
La 0.6310 0.1164 0.2357
La 0.8808 0.8808 0.7548
La 0.8836 0.3690 0.7643
Ir 0.0000 0.0000 0.5000
Ir 0.2560 0.7440 0.0000
Ir 0.7440 0.2560 0.0000
Ru 0.2597 0.2597 0.0568
Ru 0.7403 0.7403 0.9432